[1]
Calculated powder diffraction line list
Compound: Zr6ZnRu5
Radiation: Cu Kα, 1.54184 Å
Structure: a DFT-relaxed cell (GGA-PBE, Alexandria)
Lines closer than 0.1° are merged.

Main lines, most intense first (2θ from 15° to 90°):
38.7°, d = 2.325 Å, I 100.0
38.6°, d = 2.330 Å, I 50.3
70.0°, d = 1.344 Å, I 33.2
55.8°, d = 1.648 Å, I 16.8
70.2°, d = 1.341 Å, I 16.5
83.1°, d = 1.163 Å, I 10.3
56.1°, d = 1.641 Å, I 8.3
82.9°, d = 1.164 Å, I 2.6
82.8°, d = 1.166 Å, I 2.6

Crystal structure
Cell: 8.069 8.069 8.069 Å, 146.45 132.01 59.82°
Sites, in units of the cell vectors:
Zr  0.081  0.332  0.749
Zr  0.246  0.000  0.246
Zr  0.417  0.668  0.749
Zr  0.583  0.332  0.251
Zr  0.754  0.000  0.754
Zr  0.919  0.668  0.251
Zn  0.500  0.500  0.000
Ru  0.000  0.500  0.500
Ru  0.167  0.167  0.000
Ru  0.334  0.834  0.500
Ru  0.666  0.166  0.500
Ru  0.833  0.833  0.000

=====

[2]
Calculated powder diffraction line list
Compound: Zr5Ru3
Radiation: Cu Kα, 1.54184 Å
Structure: a DFT-relaxed cell (GGA-PBE, Alexandria)
Lines closer than 0.1° are merged.

Main lines, most intense first (2θ from 15° to 90°):
37.7°, d = 2.389 Å, I 100.0
38.7°, d = 2.329 Å, I 49.0
69.3°, d = 1.356 Å, I 31.7
55.8°, d = 1.647 Å, I 16.4
67.3°, d = 1.391 Å, I 14.7
80.4°, d = 1.194 Å, I 8.8
52.8°, d = 1.735 Å, I 7.8
89.9°, d = 1.091 Å, I 5.2
82.9°, d = 1.164 Å, I 5.1
48.1°, d = 1.893 Å, I 2.0

Crystal structure
Cell: 3.293 3.293 13.881 Å, 90.00 90.00 90.00°
Sites, in units of the cell vectors:
Zr  0.000  0.000  0.000
Zr  0.000  0.000  0.235
Zr  0.000  0.000  0.765
Zr  0.500  0.500  0.383
Zr  0.500  0.500  0.617
Ru  0.000  0.000  0.500
Ru  0.500  0.500  0.117
Ru  0.500  0.500  0.883

=====

[3]
Calculated powder diffraction line list
Compound: ZrRu3
Radiation: Cu Kα, 1.54184 Å
Structure: a DFT-relaxed cell (GGA-PBE, Alexandria)
Lines closer than 0.1° are merged.

Main lines, most intense first (2θ from 15° to 90°):
42.1°, d = 2.147 Å, I 100.0
41.0°, d = 2.203 Å, I 69.4
40.5°, d = 2.228 Å, I 43.6
36.7°, d = 2.450 Å, I 37.9
55.8°, d = 1.648 Å, I 22.0
74.8°, d = 1.270 Å, I 17.6
78.9°, d = 1.213 Å, I 17.5
81.5°, d = 1.181 Å, I 17.2
64.4°, d = 1.447 Å, I 15.8
74.0°, d = 1.281 Å, I 11.6

Crystal structure
Cell: 4.455 5.597 5.070 Å, 90.00 90.00 90.00°
Sites, in units of the cell vectors:
Zr  0.250  0.250  0.126
Zr  0.750  0.750  0.874
Ru  0.250  0.510  0.643
Ru  0.250  0.750  0.189
Ru  0.250  0.990  0.643
Ru  0.750  0.010  0.357
Ru  0.750  0.250  0.811
Ru  0.750  0.490  0.357